(1)
Starting from a crystal structure in Alexandria, relaxed with GGA-PBE, the XRD peak list of Sm9Dy4Cd11 was calculated for λ = 1.5418 Å (Cu Kα).

Most intense lines, 10 to 80 degrees two-theta, sorted by position:
2θ 31.43, I = 14.7; 2θ 32.09, I = 21.7; 2θ 32.21, I = 100.0; 2θ 33.59, I = 88.0; 2θ 34.04, I = 23.3; 2θ 34.15, I = 81.4; 2θ 37.90, I = 15.9; 2θ 51.02, I = 19.9; 2θ 58.44, I = 22.3; 2θ 61.60, I = 51.7

Atomic structure:
Cell: 14.0809 14.0809 3.5799 Å, 90.00 90.00 110.71°
Element x y z (fractional)
Sm  0.0000  0.0000  0.0000
Sm  0.1230  0.6508  0.0000
Sm  0.2927  0.4700  0.0000
Sm  0.3492  0.8770  0.0000
Sm  0.4700  0.2927  0.0000
Sm  0.5300  0.7073  0.0000
Sm  0.6508  0.1230  0.0000
Sm  0.7073  0.5300  0.0000
Sm  0.8770  0.3492  0.0000
Dy  0.0704  0.2480  0.0000
Dy  0.2480  0.0704  0.0000
Dy  0.7520  0.9296  0.0000
Dy  0.9296  0.7520  0.0000
Cd  0.0862  0.4462  0.5000
Cd  0.1321  0.8679  0.5000
Cd  0.2643  0.2643  0.5000
Cd  0.3269  0.6731  0.5000
Cd  0.4462  0.0862  0.5000
Cd  0.5000  0.5000  0.5000
Cd  0.5538  0.9138  0.5000
Cd  0.6731  0.3269  0.5000
Cd  0.7357  0.7357  0.5000
Cd  0.8679  0.1321  0.5000
Cd  0.9138  0.5538  0.5000



(2)
Starting from a crystal structure in Alexandria, relaxed with GGA-PBE, the XRD peak list of Nd6CdNi2Br3 was calculated for λ = 1.5418 Å (Cu Kα).

Most intense lines, 10 to 80 degrees two-theta, sorted by position:
2θ 11.55, I = 11.3; 2θ 26.16, I = 9.7; 2θ 28.98, I = 49.9; 2θ 29.29, I = 100.0; 2θ 36.98, I = 11.5; 2θ 39.36, I = 16.1; 2θ 40.44, I = 33.2; 2θ 42.87, I = 33.0; 2θ 44.33, I = 18.1; 2θ 53.83, I = 17.5

Atomic structure:
Cell: 9.9532 9.9532 9.1885 Å, 107.98 107.98 23.70°
Element x y z (fractional)
Nd  0.0164  0.0164  0.2648
Nd  0.3198  0.3198  0.4455
Nd  0.3335  0.3335  0.8733
Nd  0.6665  0.6665  0.1267
Nd  0.6802  0.6802  0.5545
Nd  0.9836  0.9836  0.7352
Cd  0.5000  0.5000  0.0000
Ni  0.1669  0.1669  0.3372
Ni  0.8331  0.8331  0.6628
Br  0.1638  0.1638  0.8338
Br  0.5000  0.5000  0.5000
Br  0.8362  0.8362  0.1662



(3)
Starting from a crystal structure in Alexandria, relaxed with GGA-PBE, the XRD peak list of Se3Br5 was calculated for λ = 1.5418 Å (Cu Kα).

Most intense lines, 10 to 80 degrees two-theta, sorted by position:
2θ 23.80, I = 29.8; 2θ 26.94, I = 28.7; 2θ 32.37, I = 100.0; 2θ 33.28, I = 19.5; 2θ 35.44, I = 57.0; 2θ 37.90, I = 52.1; 2θ 48.72, I = 16.9; 2θ 49.86, I = 21.0; 2θ 50.67, I = 26.9; 2θ 63.33, I = 22.5

Atomic structure:
Cell: 8.2242 8.2242 7.4766 Å, 90.00 90.00 120.00°
Element x y z (fractional)
Se  0.0000  0.3561  0.2500
Se  0.0000  0.6439  0.7500
Se  0.3561  0.0000  0.2500
Se  0.3561  0.3561  0.7500
Se  0.6439  0.0000  0.7500
Se  0.6439  0.6439  0.2500
Br  0.0000  0.2451  0.7500
Br  0.0000  0.7549  0.2500
Br  0.2451  0.0000  0.7500
Br  0.2451  0.2451  0.2500
Br  0.3333  0.6667  0.0000
Br  0.3333  0.6667  0.5000
Br  0.6667  0.3333  0.0000
Br  0.6667  0.3333  0.5000
Br  0.7549  0.0000  0.2500
Br  0.7549  0.7549  0.7500



(4)
Starting from a crystal structure in Alexandria, relaxed with GGA-PBE, the XRD peak list of Zr2Zn12Au was calculated for λ = 1.5418 Å (Cu Kα).

Most intense lines, 10 to 80 degrees two-theta, sorted by position:
2θ 25.10, I = 46.4; 2θ 31.43, I = 87.8; 2θ 34.05, I = 41.7; 2θ 36.22, I = 54.1; 2θ 39.08, I = 100.0; 2θ 42.50, I = 69.0; 2θ 44.80, I = 52.8; 2θ 46.21, I = 87.8; 2θ 46.44, I = 41.1; 2θ 70.35, I = 38.3

Atomic structure:
Cell: 5.5566 5.5566 16.5176 Å, 90.00 90.00 90.00°
Element x y z (fractional)
Zr  0.2500  0.7500  0.2452
Zr  0.2500  0.7500  0.7548
Zr  0.7500  0.2500  0.2452
Zr  0.7500  0.2500  0.7548
Zn  0.9999  0.0001  0.3939
Zn  0.0001  0.9999  0.6061
Zn  0.0001  0.5001  0.3939
Zn  0.9999  0.4999  0.6061
Zn  0.0837  0.5837  0.0678
Zn  0.0837  0.9163  0.9322
Zn  0.2500  0.2500  0.1584
Zn  0.2500  0.2500  0.2995
Zn  0.2500  0.2500  0.7005
Zn  0.2500  0.2500  0.8416
Zn  0.4163  0.5837  0.9322
Zn  0.4163  0.9163  0.0678
Zn  0.4999  0.9999  0.3939
Zn  0.5001  0.0001  0.6061
Zn  0.5001  0.4999  0.3939
Zn  0.4999  0.5001  0.6061
Zn  0.5837  0.0837  0.9322
Zn  0.5837  0.4163  0.0678
Zn  0.7500  0.7500  0.1584
Zn  0.7500  0.7500  0.2995
Zn  0.7500  0.7500  0.7005
Zn  0.7500  0.7500  0.8416
Zn  0.9163  0.0837  0.0678
Zn  0.9163  0.4163  0.9322
Au  0.2500  0.7500  0.5000
Au  0.7500  0.2500  0.5000



(5)
Starting from a crystal structure in Alexandria, relaxed with GGA-PBE, the XRD peak list of CaCeCdRh was calculated for λ = 1.5418 Å (Cu Kα).

Most intense lines, 10 to 80 degrees two-theta, sorted by position:
2θ 21.22, I = 13.5; 2θ 24.55, I = 1.2; 2θ 35.00, I = 100.0; 2θ 41.30, I = 7.5; 2θ 50.34, I = 17.3; 2θ 55.22, I = 3.3; 2θ 62.78, I = 35.0; 2θ 67.07, I = 2.5; 2θ 73.94, I = 10.7; 2θ 77.95, I = 2.5

Atomic structure:
Cell: 5.1273 5.1273 5.1273 Å, 60.00 60.00 60.00°
Element x y z (fractional)
Ca  0.0000  0.0000  0.0000
Ce  0.5000  0.5000  0.5000
Cd  0.7500  0.7500  0.7500
Rh  0.2500  0.2500  0.2500



(6)
Starting from a crystal structure in Alexandria, relaxed with GGA-PBE, the XRD peak list of Ba4Na3N was calculated for λ = 1.5418 Å (Cu Kα).

Most intense lines, 10 to 80 degrees two-theta, sorted by position:
2θ 13.14, I = 54.7; 2θ 15.83, I = 51.0; 2θ 17.81, I = 50.9; 2θ 23.52, I = 52.5; 2θ 23.67, I = 91.2; 2θ 25.14, I = 80.4; 2θ 26.10, I = 46.7; 2θ 26.46, I = 100.0; 2θ 28.81, I = 39.5; 2θ 31.98, I = 41.5

Atomic structure:
Cell: 11.2020 12.8094 11.1984 Å, 90.00 90.00 90.00°
Element x y z (fractional)
Ba  0.0152  0.2500  0.0324
Ba  0.1864  0.7500  0.2701
Ba  0.1928  0.0888  0.4823
Ba  0.1928  0.4112  0.4823
Ba  0.3072  0.5888  0.9823
Ba  0.3072  0.9112  0.9823
Ba  0.3136  0.2500  0.7701
Ba  0.4848  0.7500  0.5324
Ba  0.5152  0.2500  0.4676
Ba  0.6864  0.7500  0.2299
Ba  0.6928  0.0888  0.0177
Ba  0.6928  0.4112  0.0177
Ba  0.8072  0.5888  0.5177
Ba  0.8072  0.9112  0.5177
Ba  0.8136  0.2500  0.7299
Ba  0.9848  0.7500  0.9676
Na  0.0237  0.0131  0.7977
Na  0.0237  0.4869  0.7977
Na  0.1345  0.7500  0.6478
Na  0.3655  0.2500  0.1478
Na  0.4763  0.5131  0.2977
Na  0.4763  0.9869  0.2977
Na  0.5237  0.0131  0.7023
Na  0.5237  0.4869  0.7023
Na  0.6345  0.7500  0.8522
Na  0.8655  0.2500  0.3522
Na  0.9763  0.5131  0.2023
Na  0.9763  0.9869  0.2023
N  0.1954  0.7500  0.0452
N  0.3046  0.2500  0.5452
N  0.6954  0.7500  0.4548
N  0.8046  0.2500  0.9548